Computed X-ray diffraction stick pattern
Compound: CrAg2PbO4
Radiation: a wavelength of 1.5418 Å
Structure: DFT lattice parameters and positions (PBE+U)
Intensities are scaled so that the largest is 100.

The 10 most intense peaks (2θ = 15–90°), by angle:
2θ = 19.62°, rel. 39.1; 2θ = 29.10°, rel. 87.9; 2θ = 32.17°, rel. 100.0; 2θ = 35.36°, rel. 46.1; 2θ = 35.98°, rel. 18.5; 2θ = 38.29°, rel. 13.6; 2θ = 46.70°, rel. 15.0; 2θ = 51.33°, rel. 36.8; 2θ = 57.84°, rel. 26.4; 2θ = 63.24°, rel. 18.8

Cell and atoms:
```
CrAg2PbO4
1.0
0.000 3.890 4.992
3.350 0.000 4.992
3.350 3.890 0.000
Cr Ag Pb O
1 2 1 4
Cartesian
0.000 0.000 0.000 Cr
1.675 1.945 2.685 Ag
5.026 5.835 7.678 Ag
3.350 3.890 5.506 Pb
5.149 3.890 3.993 O
3.350 1.467 6.018 O
1.551 3.890 3.993 O
3.350 6.314 6.018 O
```